For Li2LaCu3, the GGA-PBE geometry in Alexandria gives the theoretical PXRD pattern in this record (Cu Ka).
Lines closer than 0.1° are merged.

Atomic structure:
```
data_Li2LaCu3
_chemical_formula_sum 'Li8 La4 Cu12'
_cell_length_a 9.8397
_cell_length_b 8.8588
_cell_length_c 4.9196
_cell_angle_alpha 90.00
_cell_angle_beta 90.00
_cell_angle_gamma 90.00
_symmetry_space_group_name_H-M 'C m c m'
_symmetry_Int_Tables_number 63
_symmetry_space_group_name_Hall '-C 2c 2'
loop_
_atom_site_label
_atom_site_type_symbol
_atom_site_fract_x
_atom_site_fract_y
_atom_site_fract_z
_atom_site_occupancy
Li1 Li 0.2250 0.0000 0.0000 1
La1 La 0.0000 0.2849 0.2500 1
Cu1 Cu 0.0000 0.0657 0.7500 1
Cu2 Cu 0.1935 0.2562 0.7500 1
```

Most intense lines, 2θ from 10° to 80°, sorted by position:
(0 2 0), 20.05 deg, 4.429 Å, I = 79
(2 2 1), 32.73 deg, 2.736 Å, I = 30
(3 1 1), 34.39 deg, 2.608 Å, I = 100
(0 0 2), 36.53 deg, 2.460 Å, I = 69
(0 2 2), 42.01 deg, 2.150 Å, I = 32
(3 3 1), 45.24 deg, 2.004 Å, I = 77